Calculated powder X-ray diffraction pattern of Pr2Br2O for Cu Kα (λ = 1.5418 Å), from a cell relaxed with GGA-PBE.
Neutral-atom scattering factors, no anomalous dispersion.

Main lines, by angle (2θ = 10–80°):
12.54 deg, 7.059 Å, intensity 13.1, hkl 0 0 2; 20.50 deg, 4.332 Å, intensity 100.0, hkl 1 0 0; 25.23 deg, 3.530 Å, intensity 14.3, hkl 0 0 4; 29.15 deg, 3.063 Å, intensity 41.4, hkl 1 1 0; 32.73 deg, 2.736 Å, intensity 29.3, hkl 1 0 4; 38.93 deg, 2.313 Å, intensity 18.3, hkl 1 1 4; 41.70 deg, 2.166 Å, intensity 15.4, hkl 2 0 0; 43.77 deg, 2.068 Å, intensity 23.1, hkl 1 0 6; 46.90 deg, 1.937 Å, intensity 21.9, hkl 2 1 0; 48.79 deg, 1.866 Å, intensity 18.6, hkl 1 1 6; 53.99 deg, 1.698 Å, intensity 14.2, hkl 2 1 4; 62.05 deg, 1.496 Å, intensity 15.2, hkl 2 1 6

Structural model:
```
Pr2Br2O
1.0
4.3320 0.0000 0.0000
0.0000 4.3320 0.0000
0.0000 0.0000 14.1189
Pr Br O
2 2 1
Direct
0.0000 0.0000 0.1536 Pr
0.0000 0.0000 0.8464 Pr
0.0000 0.0000 0.3474 Br
0.0000 0.0000 0.6526 Br
0.0000 0.0000 0.0000 O
```